The following is a simulated powder XRD pattern of Tb4NdDy5. It was derived from a GGA-PBE-relaxed structure, using Cu Kα.

Most intense lines, 2θ = 5–70°, in order of rising 2θ:
27.6 deg, I = 59
28.5 deg, I = 30
29.8 deg, I = 100
31.1 deg, I = 37
33.5 deg, I = 24
34.7 deg, I = 56
37.3 deg, I = 24
39.0 deg, I = 24
40.0 deg, I = 33
58.9 deg, I = 25

```
10
Lattice="-5.1155 5.1155 3.1348 5.1155 -5.1155 3.1348 5.1155 5.1155 -3.1348" Properties=species:S:1:pos:R:3 pbc="T T T"
Tb 3.5689 0.4936 0.0000
Tb 4.6219 -1.5466 3.1348
Tb 0.4936 6.6621 0.0000
Tb 1.5466 4.6219 3.1348
Nd 0.0000 0.0000 4.8131
Dy 0.0000 0.0000 1.4146
Dy 6.6262 2.7414 -0.0254
Dy 2.7414 3.6048 -0.0254
Dy 2.3741 1.5107 3.1094
Dy -1.5107 2.3741 3.1094
```

---

The following is a simulated powder XRD pattern of RbCrAg2Se. It was derived from a GGA-PBE-relaxed structure, using Cu Kα.

Most intense lines, 2θ = 5–70°, in order of rising 2θ:
14.3 deg, I = 15
17.3 deg, I = 6
28.5 deg, I = 100
28.8 deg, I = 43
35.0 deg, I = 50
46.0 deg, I = 45
50.3 deg, I = 17
50.9 deg, I = 19
58.9 deg, I = 25
59.0 deg, I = 21

```
5
Lattice="5.1270 0.0000 0.0000 0.0000 5.1270 0.0000 0.0000 0.0000 6.1943" Properties=species:S:1:pos:R:3 pbc="T T T"
Rb 0.0000 0.0000 0.0000
Cr 0.0000 0.0000 3.0971
Ag 0.0000 2.5635 3.0971
Ag 2.5635 0.0000 3.0971
Se 2.5635 2.5635 0.0000
```

---

The following is a simulated powder XRD pattern of Li3Ac2Cd. It was derived from a GGA-PBE-relaxed structure, using Cu Kα.

Most intense lines, 2θ = 5–70°, in order of rising 2θ:
17.4 deg, I = 35
17.8 deg, I = 62
28.5 deg, I = 100
29.1 deg, I = 34
33.8 deg, I = 86
34.3 deg, I = 33
50.6 deg, I = 14
51.8 deg, I = 19
54.1 deg, I = 15
68.0 deg, I = 17

```
12
Lattice="10.5860 0.0000 0.0000 0.0000 6.2450 0.0000 -3.4426 0.0000 5.1045" Properties=species:S:1:pos:R:3 pbc="T T T"
Li 0.0000 0.0000 0.0000
Li 0.9252 1.5612 2.5522
Li 0.9252 4.6837 2.5522
Li 5.2930 3.1225 0.0000
Li 6.2182 1.5612 2.5522
Li 6.2182 4.6837 2.5522
Ac -1.6485 3.1225 4.4450
Ac 3.4989 0.0000 0.6595
Ac 3.6445 0.0000 4.4450
Ac 8.7919 3.1225 0.6595
Cd -1.7213 0.0000 2.5522
Cd 3.5717 3.1225 2.5522
```

---

The following is a simulated powder XRD pattern of UHF. It was derived from a GGA-PBE-relaxed structure, using Cu Kα.

Most intense lines, 2θ = 5–70°, in order of rising 2θ:
10.2 deg, I = 70
20.6 deg, I = 19
28.4 deg, I = 16
30.2 deg, I = 100
31.0 deg, I = 20
35.3 deg, I = 63
42.5 deg, I = 21
50.2 deg, I = 23
51.3 deg, I = 31
60.2 deg, I = 20

```
6
Lattice="3.6348 0.0000 0.0000 -1.8174 3.1478 0.0000 0.0000 0.0000 8.6420" Properties=species:S:1:pos:R:3 pbc="T T T"
U 0.0000 2.0985 2.8954
U 1.8174 1.0493 5.7466
H 0.0000 2.0985 5.0859
H 1.8174 1.0493 3.5561
F 0.0000 0.0000 1.5902
F 0.0000 0.0000 7.0518
```

---

The following is a simulated powder XRD pattern of AgBi2F12. It was derived from a GGA-PBE-relaxed structure, using Cu Kα.

Most intense lines, 2θ = 5–70°, in order of rising 2θ:
17.7 deg, I = 56
19.9 deg, I = 79
20.1 deg, I = 39
21.5 deg, I = 100
22.9 deg, I = 90
23.1 deg, I = 86
30.1 deg, I = 90
31.5 deg, I = 37
39.0 deg, I = 28
47.9 deg, I = 32

```
15
Lattice="5.4353 0.0000 0.0000 2.4428 5.1915 0.0000 0.2244 2.3648 8.9036" Properties=species:S:1:pos:R:3 pbc="T T T"
Ag 0.0000 0.0000 0.0000
Bi 2.6485 4.4053 6.4787
Bi 5.4540 3.1511 2.4249
F 1.6557 1.9716 2.4647
F 1.7796 2.8330 5.5614
F 1.8690 3.5919 8.3205
F 3.4597 5.9133 7.7768
F 3.5796 5.1960 4.8810
F 3.7812 4.1890 1.8452
F 4.3214 3.3674 7.0583
F 4.5230 2.3603 4.0226
F 4.6428 1.6430 1.1268
F 6.2336 3.9645 0.5830
F 6.3230 4.7233 3.3421
F 6.4469 5.5848 6.4388
```

---

The following is a simulated powder XRD pattern of Pm3InRh. It was derived from a GGA-PBE-relaxed structure, using Cu Kα.

Most intense lines, 2θ = 5–70°, in order of rising 2θ:
30.4 deg, I = 49
30.8 deg, I = 67
31.5 deg, I = 88
33.3 deg, I = 65
33.8 deg, I = 88
33.9 deg, I = 35
34.1 deg, I = 100
36.5 deg, I = 37
38.7 deg, I = 40
50.9 deg, I = 34

```
10
Lattice="4.9322 -3.4528 0.0000 4.9322 3.4528 0.0000 -4.5951 0.0000 8.1079" Properties=species:S:1:pos:R:3 pbc="T T T"
Pm -0.5698 0.0000 2.1398
Pm -0.2524 0.0000 5.6862
Pm 2.5367 0.0000 0.8288
Pm 2.7326 0.0000 7.2791
Pm 5.5217 0.0000 2.4217
Pm 5.8391 0.0000 5.9681
In 2.6346 1.4032 4.0539
In 2.6346 -1.4032 4.0539
Rh 4.9322 1.5964 0.0000
Rh 4.9322 -1.5964 0.0000
```

---

The following is a simulated powder XRD pattern of PtWAu. It was derived from a GGA-PBE-relaxed structure, using Cu Kα.

Most intense lines, 2θ = 5–70°, in order of rising 2θ:
25.3 deg, I = 2
38.3 deg, I = 33
38.7 deg, I = 100
44.9 deg, I = 65
53.9 deg, I = 2
65.0 deg, I = 22
65.6 deg, I = 22
66.2 deg, I = 1

```
3
Lattice="2.8470 0.0000 0.0000 -1.4235 2.4656 0.0000 0.0000 0.0000 7.0537" Properties=species:S:1:pos:R:3 pbc="T T T"
Pt 0.0000 0.0000 0.0000
W 1.4235 0.8219 2.1666
Au 0.0000 1.6437 4.5670
```

---

The following is a simulated powder XRD pattern of VAs2SBr. It was derived from a GGA-PBE-relaxed structure, using Cu Kα.

Most intense lines, 2θ = 5–70°, in order of rising 2θ:
18.3 deg, I = 43
19.2 deg, I = 15
32.5 deg, I = 100
37.0 deg, I = 74
39.0 deg, I = 32
53.3 deg, I = 25
54.9 deg, I = 45
63.9 deg, I = 28
66.6 deg, I = 12
68.1 deg, I = 23

```
5
Lattice="4.8574 0.0000 0.0000 0.0000 4.8574 0.0000 0.0000 0.0000 4.6145" Properties=species:S:1:pos:R:3 pbc="T T T"
V 0.0000 0.0000 0.0000
As 0.0000 2.4287 0.0000
As 2.4287 0.0000 0.0000
S 2.4287 2.4287 2.3073
Br 0.0000 0.0000 2.3073
```